Structure and calculated X-ray diffraction stick pattern of TaCuO4 (a PBE-relaxed structure; Cu Kα (λ = 1.5418 Å)).
No peak broadening, texture or thermal motion is included.

Peak list (10 most intense, 15 to 90 degrees two-theta, sorted by position)
two_theta	I_rel
19.7	352
21.1	336
22.4	408
23.0	314
25.1	252
25.4	368
30.0	240
30.5	1000
36.2	263
36.6	253

Crystal structure
```
TaCuO4
1.0
6.502 0.000 0.000
0.000 8.998 0.000
-0.374 0.000 11.731
Ta Cu O
8 8 32
direct
0.089 0.076 0.374
0.089 0.424 0.874
0.392 0.605 0.356
0.392 0.895 0.856
0.608 0.105 0.144
0.608 0.395 0.644
0.911 0.576 0.126
0.911 0.924 0.626
0.178 0.614 0.610
0.178 0.886 0.110
0.373 0.044 0.610
0.373 0.456 0.110
0.627 0.544 0.890
0.627 0.956 0.390
0.822 0.114 0.890
0.822 0.386 0.390
0.069 0.214 0.872
0.069 0.286 0.372
0.101 0.075 0.567
0.101 0.425 0.067
0.118 0.015 0.225
0.118 0.485 0.725
0.188 0.654 0.458
0.188 0.846 0.958
0.278 0.616 0.202
0.278 0.884 0.702
0.361 0.015 0.413
0.361 0.485 0.913
0.419 0.249 0.626
0.419 0.251 0.126
0.458 0.570 0.615
0.458 0.930 0.115
0.542 0.070 0.885
0.542 0.430 0.385
0.581 0.749 0.874
0.581 0.751 0.374
0.639 0.515 0.087
0.639 0.985 0.587
0.722 0.116 0.298
0.722 0.384 0.798
0.812 0.154 0.042
0.812 0.346 0.542
0.882 0.515 0.275
0.882 0.985 0.775
0.899 0.575 0.933
0.899 0.925 0.433
0.931 0.714 0.628
0.931 0.786 0.128
```



Structure and calculated X-ray diffraction stick pattern of TmInPt (a PBE-relaxed structure; Cu Kα (λ = 1.5418 Å)).
No peak broadening, texture or thermal motion is included.

Peak list (10 most intense, 15 to 90 degrees two-theta, sorted by position)
two_theta	I_rel
27.0	116
33.2	645
35.9	1000
40.9	416
43.2	280
47.7	184
61.1	106
64.6	216
66.2	275
76.0	141

Crystal structure
```
TmInPt
1.0
7.652 0.000 0.000
-3.826 6.626 0.000
0.000 0.000 3.812
Tm In Pt
3 3 3
direct
0.000 0.405 0.000
0.405 0.000 0.000
0.595 0.595 0.000
0.000 0.737 0.500
0.263 0.263 0.500
0.737 0.000 0.500
0.000 0.000 0.000
0.333 0.667 0.500
0.667 0.333 0.500
```



Structure and calculated X-ray diffraction stick pattern of Mg3Ga (a PBE-relaxed structure; Cu Kα (λ = 1.5418 Å)).
No peak broadening, texture or thermal motion is included.

Peak list (10 most intense, 15 to 90 degrees two-theta, sorted by position)
two_theta	I_rel
18.1	132
32.6	311
33.9	164
36.8	226
37.6	1000
50.0	182
58.2	173
66.8	169
70.8	183
71.3	140

Crystal structure
```
Mg3Ga
1.0
3.171 0.000 0.000
-1.586 2.747 0.000
0.000 0.000 9.776
Mg Ga
3 1
direct
0.000 0.000 0.000
0.333 0.667 0.258
0.333 0.667 0.742
0.000 0.000 0.500
```



Structure and calculated X-ray diffraction stick pattern of Sm6Fe13Bi (a PBE-relaxed structure; Cu Kα (λ = 1.5418 Å)).
No peak broadening, texture or thermal motion is included.

Peak list (10 most intense, 15 to 90 degrees two-theta, sorted by position)
two_theta	I_rel
27.3	722
27.8	388
31.4	1000
32.0	455
34.6	375
35.2	983
38.1	608
43.0	440
46.6	321
50.6	407

Crystal structure
```
Sm6Fe13Bi
1.0
-4.032 4.032 11.656
4.032 -4.032 11.656
4.032 4.032 -11.656
Sm Fe Bi
12 26 2
direct
0.023 0.523 0.178
0.103 0.103 0.000
0.155 0.977 0.500
0.345 0.845 0.822
0.397 0.397 0.000
0.477 0.655 0.500
0.523 0.345 0.500
0.603 0.603 0.000
0.655 0.155 0.178
0.845 0.023 0.500
0.897 0.897 0.000
0.977 0.477 0.822
0.000 0.500 0.500
0.019 0.292 0.500
0.067 0.210 0.277
0.120 0.620 0.859
0.208 0.481 0.500
0.210 0.933 0.143
0.239 0.739 0.859
0.261 0.120 0.500
0.290 0.433 0.723
0.292 0.792 0.272
0.380 0.239 0.500
0.433 0.710 0.143
0.481 0.981 0.272
0.500 0.000 0.500
0.519 0.019 0.728
0.567 0.290 0.857
0.620 0.761 0.500
0.708 0.208 0.728
0.710 0.567 0.277
0.739 0.880 0.500
0.761 0.261 0.141
0.790 0.067 0.857
0.792 0.519 0.500
0.880 0.380 0.141
0.933 0.790 0.723
0.981 0.708 0.500
0.250 0.250 0.000
0.750 0.750 0.000
```



Structure and calculated X-ray diffraction stick pattern of USi2Pd2 (a PBE-relaxed structure; Cu Kα (λ = 1.5418 Å)).
No peak broadening, texture or thermal motion is included.

Peak list (10 most intense, 15 to 90 degrees two-theta, sorted by position)
two_theta	I_rel
23.5	449
34.1	362
34.6	201
35.7	1000
44.6	326
49.3	155
57.3	168
57.7	189
62.8	166
76.4	225

Crystal structure
```
USi2Pd2
1.0
-2.031 2.031 5.184
2.031 -2.031 5.184
2.031 2.031 -5.184
U Si Pd
1 2 2
direct
0.000 0.000 0.000
0.389 0.389 0.000
0.611 0.611 0.000
0.250 0.750 0.500
0.750 0.250 0.500
```



Structure and calculated X-ray diffraction stick pattern of In3Te3I (a PBE-relaxed structure; Cu Kα (λ = 1.5418 Å)).
No peak broadening, texture or thermal motion is included.

Peak list (10 most intense, 15 to 90 degrees two-theta, sorted by position)
two_theta	I_rel
23.0	626
23.2	269
25.2	1000
26.2	373
26.6	398
28.5	552
36.7	246
40.9	441
43.7	476
45.4	258

Crystal structure
```
In3Te3I
1.0
11.900 0.000 0.000
0.000 4.408 0.000
0.000 0.000 20.444
In Te I
12 12 4
direct
0.056 0.250 0.106
0.152 0.250 0.633
0.181 0.250 0.987
0.319 0.750 0.487
0.348 0.750 0.133
0.444 0.750 0.606
0.556 0.250 0.394
0.652 0.250 0.867
0.681 0.250 0.513
0.819 0.750 0.013
0.848 0.750 0.367
0.944 0.750 0.894
0.088 0.250 0.858
0.161 0.250 0.494
0.241 0.250 0.198
0.259 0.750 0.698
0.339 0.750 0.994
0.412 0.750 0.358
0.588 0.250 0.642
0.661 0.250 0.006
0.741 0.250 0.302
0.759 0.750 0.802
0.839 0.750 0.506
0.912 0.750 0.142
0.070 0.750 0.327
0.430 0.250 0.827
0.570 0.750 0.173
0.930 0.250 0.673
```



Structure and calculated X-ray diffraction stick pattern of Zr5Zn4Si4 (a PBE-relaxed structure; Cu Kα (λ = 1.5418 Å)).
No peak broadening, texture or thermal motion is included.

Peak list (10 most intense, 15 to 90 degrees two-theta, sorted by position)
two_theta	I_rel
29.7	246
34.1	353
37.1	186
38.0	1000
41.6	145
42.5	351
47.4	214
61.7	141
65.5	188
67.4	132

Crystal structure
```
Zr5Zn4Si4
1.0
-5.422 5.422 1.919
5.422 -5.422 1.919
5.422 5.422 -1.919
Zr Zn Si
5 4 4
direct
0.000 0.000 0.000
0.299 0.371 0.669
0.371 0.701 0.072
0.629 0.299 0.928
0.701 0.629 0.331
0.105 0.586 0.690
0.414 0.105 0.519
0.586 0.895 0.481
0.895 0.414 0.310
0.059 0.243 0.303
0.243 0.941 0.184
0.757 0.059 0.816
0.941 0.757 0.697
```



Structure and calculated X-ray diffraction stick pattern of SmMnIn (a PBE-relaxed structure; Cu Kα (λ = 1.5418 Å)).
No peak broadening, texture or thermal motion is included.

Peak list (10 most intense, 15 to 90 degrees two-theta, sorted by position)
two_theta	I_rel
22.6	138
32.4	1000
39.8	508
46.8	105
52.2	257
63.1	251
67.6	233
72.2	84
77.8	78
85.7	53

Crystal structure
```
SmMnIn
1.0
4.535 0.000 0.000
-2.267 3.927 0.000
0.000 0.000 3.878
Sm Mn In
1 1 1
direct
0.000 0.000 0.000
0.333 0.667 0.500
0.667 0.333 0.500
```